Ag6HgTe4: calculated powder XRD pattern (Cu Kα), based on DFT lattice parameters and positions (PBE).
Kinematic intensities with the Lorentz-polarization factor, no thermal factor.

Structural model:
Unit cell a=7.1232 b=7.1232 c=7.4370 alpha=118.32 beta=118.32 gamma=90.29
Fractional positions:
Ag  0.0000  0.0000  0.0000
Ag  0.2390  0.7392  0.7810
Ag  0.4816  0.7722  0.5630
Ag  0.7055  0.7055  0.9969
Ag  0.7392  0.2390  0.7810
Ag  0.7722  0.4816  0.5630
Hg  0.2310  0.2310  0.7869
Te  0.1430  0.6347  0.0760
Te  0.3343  0.3343  0.4934
Te  0.6347  0.1430  0.0760
Te  0.8375  0.8375  0.4798

Principal peaks in the range 5° ≤ 2θ ≤ 70°, most intense first:
2θ/deg	I (rel.)
29.9	100
43.4	73
41.5	64
41.4	63
29.2	63
16.1	54
35.6	49
35.7	48
27.3	42
38.8	41
37.3	39
43.0	27


AgHg3Te4: calculated powder XRD pattern (Cu Kα), based on DFT lattice parameters and positions (PBE).
Kinematic intensities with the Lorentz-polarization factor, no thermal factor.

Structural model:
Unit cell a=4.6258 b=4.6258 c=15.4463 alpha=98.66 beta=98.66 gamma=60.07
Fractional positions:
Ag  0.0000  0.0000  0.0000
Hg  0.2494  0.2494  0.7491
Hg  0.4970  0.4970  0.4919
Hg  0.7442  0.7442  0.2339
Te  0.1861  0.1861  0.5595
Te  0.4345  0.4345  0.3047
Te  0.6829  0.6829  0.0495
Te  0.9379  0.9379  0.8148

Principal peaks in the range 5° ≤ 2θ ≤ 70°, most intense first:
2θ/deg	I (rel.)
23.5	100
38.9	52
38.8	51
45.9	43
23.4	31
56.1	17
45.8	17
61.8	14
61.6	7
46.0	6
27.2	4
61.4	4